Entry 1:
This entry pairs a crystal structure of Ag3PtF7 with its simulated XRD peak list. Radiation: Cu Kα (λ = 1.5418 Å). Structure: a DFT-relaxed cell (PBE, Alexandria).
Kinematic intensities with the Lorentz-polarization factor, no thermal factor.

Largest 12 diffraction maxima, by angle, 15 to 90 degrees two-theta:
d 3.576, rel. 65; d 3.170, rel. 100; d 3.040, rel. 46; d 2.820, rel. 47; d 2.733, rel. 22; d 2.087, rel. 39; d 2.046, rel. 19; d 1.945, rel. 15; d 1.858, rel. 27; d 1.801, rel. 21; d 1.709, rel. 16; d 1.649, rel. 28

Atomic structure:
```
data_Ag3PtF7
_chemical_formula_sum 'Ag3 Pt1 F7'
_cell_length_a 5.690
_cell_length_b 5.690
_cell_length_c 6.344
_cell_angle_alpha 111.74
_cell_angle_beta 111.74
_cell_angle_gamma 86.29
_symmetry_space_group_name_H-M 'P 1'
_symmetry_Int_Tables_number 1
loop_
_symmetry_equiv_pos_as_xyz
'x,y,z'
loop_
_atom_site_label
_atom_site_type_symbol
_atom_site_fract_x
_atom_site_fract_y
_atom_site_fract_z
Ag1 Ag 0.000 0.000 0.000
Ag2 Ag 0.248 0.737 0.514
Ag3 Ag 0.737 0.248 0.514
Pt1 Pt 0.495 0.495 0.002
F1 F 0.000 0.000 0.361
F2 F 0.159 0.541 0.774
F3 F 0.343 0.343 0.164
F4 F 0.455 0.828 0.232
F5 F 0.541 0.159 0.774
F6 F 0.637 0.637 0.825
F7 F 0.828 0.455 0.232
```

***

Entry 2:
This entry pairs a crystal structure of Ag2PtF7 with its simulated XRD peak list. Radiation: Cu Kα (λ = 1.5418 Å). Structure: a DFT-relaxed cell (PBE, Alexandria).
Kinematic intensities with the Lorentz-polarization factor, no thermal factor.

Largest 12 diffraction maxima, by angle, 15 to 90 degrees two-theta:
d 5.273, rel. 34; d 4.418, rel. 38; d 3.776, rel. 60; d 3.551, rel. 76; d 3.485, rel. 100; d 3.323, rel. 74; d 2.982, rel. 80; d 2.688, rel. 26; d 2.127, rel. 40; d 1.950, rel. 36; d 1.926, rel. 23; d 1.752, rel. 31

Atomic structure:
```
data_Ag2PtF7
_chemical_formula_sum 'Ag4 Pt2 F14'
_cell_length_a 7.067
_cell_length_b 7.067
_cell_length_c 8.917
_cell_angle_alpha 122.36
_cell_angle_beta 122.36
_cell_angle_gamma 55.41
_symmetry_space_group_name_H-M 'P 1'
_symmetry_Int_Tables_number 1
loop_
_symmetry_equiv_pos_as_xyz
'x,y,z'
loop_
_atom_site_label
_atom_site_type_symbol
_atom_site_fract_x
_atom_site_fract_y
_atom_site_fract_z
Ag1 Ag 0.113 0.307 0.326
Ag2 Ag 0.307 0.113 0.826
Ag3 Ag 0.693 0.887 0.174
Ag4 Ag 0.887 0.693 0.674
Pt1 Pt 0.325 0.675 0.250
Pt2 Pt 0.675 0.325 0.750
F1 F 0.023 0.977 0.250
F2 F 0.156 0.547 0.977
F3 F 0.174 0.607 0.342
F4 F 0.267 0.488 0.674
F5 F 0.393 0.826 0.158
F6 F 0.453 0.844 0.523
F7 F 0.488 0.267 0.174
F8 F 0.512 0.733 0.826
F9 F 0.547 0.156 0.477
F10 F 0.607 0.174 0.842
F11 F 0.733 0.512 0.326
F12 F 0.826 0.393 0.658
F13 F 0.844 0.453 0.023
F14 F 0.977 0.023 0.750
```

***

Entry 3:
This entry pairs a crystal structure of Rb6AgF12 with its simulated XRD peak list. Radiation: Cu Kα (λ = 1.5418 Å). Structure: a DFT-relaxed cell (PBE, Alexandria).
Kinematic intensities with the Lorentz-polarization factor, no thermal factor.

Largest 12 diffraction maxima, by angle, 15 to 90 degrees two-theta:
d 4.850, rel. 9; d 3.683, rel. 38; d 3.616, rel. 100; d 3.146, rel. 34; d 2.922, rel. 7; d 2.721, rel. 7; d 2.289, rel. 11; d 2.240, rel. 39; d 2.209, rel. 29; d 1.914, rel. 12; d 1.894, rel. 26; d 1.885, rel. 7

Atomic structure:
```
data_Rb6AgF12
_chemical_formula_sum 'Rb6 Ag1 F12'
_cell_length_a 7.689
_cell_length_b 7.689
_cell_length_c 7.689
_cell_angle_alpha 98.96
_cell_angle_beta 98.96
_cell_angle_gamma 98.96
_symmetry_space_group_name_H-M 'P 1'
_symmetry_Int_Tables_number 1
loop_
_symmetry_equiv_pos_as_xyz
'x,y,z'
loop_
_atom_site_label
_atom_site_type_symbol
_atom_site_fract_x
_atom_site_fract_y
_atom_site_fract_z
Rb1 Rb 0.162 0.265 0.612
Rb2 Rb 0.265 0.612 0.162
Rb3 Rb 0.388 0.838 0.735
Rb4 Rb 0.612 0.162 0.265
Rb5 Rb 0.735 0.388 0.838
Rb6 Rb 0.838 0.735 0.388
Ag1 Ag 0.000 0.000 0.000
F1 F 0.019 0.941 0.734
F2 F 0.059 0.266 0.981
F3 F 0.135 0.575 0.476
F4 F 0.266 0.981 0.059
F5 F 0.425 0.524 0.865
F6 F 0.476 0.135 0.575
F7 F 0.524 0.865 0.425
F8 F 0.575 0.476 0.135
F9 F 0.734 0.019 0.941
F10 F 0.865 0.425 0.524
F11 F 0.941 0.734 0.019
F12 F 0.981 0.059 0.266
```